Entry 1:
Starting from the GGA-PBE geometry in the Materials Project, the PXRD pattern of SmYIr2 was computed for Cu Kα X-rays.
No peak broadening, texture or thermal motion is included.

Largest 8 diffraction maxima, in order of rising 2θ, 2θ = 10–90°:
2theta	Rel. int.
22.16	2
25.65	6
36.59	100
52.70	18
59.51	3
65.86	36
77.77	11
89.15	17

```
SmYIr2
1.0
0.0000 3.4735 3.4735
3.4735 0.0000 3.4735
3.4735 3.4735 0.0000
Sm Y Ir
1 1 2
Cartesian
0.0000 0.0000 0.0000
3.4735 3.4735 3.4735
1.7368 1.7368 1.7368
5.2103 5.2103 5.2103
```

=====

Entry 2:
Starting from the GGA-PBE geometry in the Materials Project, the PXRD pattern of Ti2Sb2O7 was computed for Cu Kα X-rays.
No peak broadening, texture or thermal motion is included.

Largest 8 diffraction maxima, in order of rising 2θ, 2θ = 10–90°:
2theta	Rel. int.
20.67	46
27.11	51
28.08	51
29.59	86
29.78	45
31.49	100
42.06	27
46.80	31

```
Ti2Sb2O7
1.0
7.7644 0.0000 0.0000
0.0000 5.6775 0.0000
-1.7880 0.0000 13.1430
Ti Sb O
8 8 28
Cartesian
0.0011 0.0000 1.6117
-0.0622 2.7639 4.1205
1.9416 5.6234 8.7196
2.0340 2.8988 11.6428
3.9424 0.0601 1.5002
4.0348 2.7846 4.4234
6.0386 5.6026 9.0224
5.9753 2.8388 11.5313
0.0344 2.7806 7.4263
-0.1032 5.4857 12.1651
2.3523 2.8025 1.7762
1.9867 5.1729 5.2152
3.9897 2.3341 7.9278
3.6240 5.6413 11.3668
6.0796 2.6469 0.9778
5.9420 5.6193 5.7167
0.0878 1.9680 0.1710
-0.1238 4.2514 2.6465
-0.0975 4.3818 5.4393
0.3721 1.4295 2.8824
0.1541 1.7346 5.7125
0.1359 5.4410 9.1066
0.1488 3.4357 11.7254
1.9721 5.6672 1.1049
2.0139 3.3344 4.2419
1.8345 1.6479 7.9484
2.0743 4.5878 7.1830
2.0740 1.3362 10.7495
3.7279 2.1220 0.3099
3.4829 1.4845 2.8810
2.4935 4.3233 10.2619
2.2484 4.9607 12.8331
3.9024 4.1750 2.3934
3.9021 1.7491 5.9599
4.1419 4.4867 5.1945
3.9625 0.4956 8.9010
4.0043 2.8285 12.0381
5.8276 0.5969 1.4175
5.8405 2.6023 4.0363
5.8223 4.5733 7.4305
5.6042 4.2683 10.2605
6.0739 1.5431 7.7037
6.1001 1.4126 10.4965
5.8886 4.8067 12.9720
```

=====

Entry 3:
Starting from the GGA-PBE geometry in the Materials Project, the PXRD pattern of Ti3H2O7 was computed for Cu Kα X-rays.
No peak broadening, texture or thermal motion is included.

Largest 8 diffraction maxima, in order of rising 2θ, 2θ = 10–90°:
2theta	Rel. int.
11.51	100
15.13	70
24.72	89
26.32	35
26.62	57
29.33	37
32.18	36
48.53	32

```
Ti3H2O7
1.0
18.8079 -1.8858 0.0000
18.8079 1.8858 0.0000
-2.5662 0.0000 9.6948
Ti H O
6 4 14
Cartesian
6.7326 0.0000 0.2161
6.9374 0.0000 3.3882
6.9669 0.0000 7.3346
28.0826 0.0000 2.3602
28.1121 0.0000 6.3067
28.3169 0.0000 9.4787
7.4087 0.0000 5.4128
10.5577 0.0000 0.1495
24.4918 0.0000 9.5454
27.6409 0.0000 4.2821
2.8739 0.0000 8.9294
5.9065 0.0000 2.0147
6.3837 0.0000 5.4073
5.6719 0.0000 8.4734
8.7123 0.0000 2.4353
8.8403 0.0000 6.0786
8.6078 0.0000 9.0738
26.4417 0.0000 0.6211
26.2092 0.0000 3.6162
26.3373 0.0000 7.2596
29.3776 0.0000 1.2214
28.6659 0.0000 4.2876
29.1430 0.0000 7.6801
32.1756 0.0000 0.7655
```

=====

Entry 4:
Starting from the GGA-PBE geometry in the Materials Project, the PXRD pattern of Na5LiN2 was computed for Cu Kα X-rays.
No peak broadening, texture or thermal motion is included.

Largest 8 diffraction maxima, in order of rising 2θ, 2θ = 10–90°:
2theta	Rel. int.
20.18	62
30.92	76
40.74	100
45.87	34
47.65	37
52.01	17
59.19	21
68.09	14

```
Na5LiN2
1.0
4.4003 0.0000 0.0000
0.0000 4.4293 0.0000
-0.0007 0.0000 7.6728
Na Li N
5 1 2
Cartesian
0.0000 0.0000 0.0000
0.0064 2.2146 3.7610
0.7641 0.0000 5.0743
0.8716 2.2146 1.2445
2.6014 2.2146 6.3228
2.6150 0.0000 2.5378
0.4004 2.2146 6.3660
0.4234 0.0000 2.5259
```

=====

Entry 5:
Starting from the GGA-PBE geometry in the Materials Project, the PXRD pattern of K4BaV2S8 was computed for Cu Kα X-rays.
No peak broadening, texture or thermal motion is included.

Largest 8 diffraction maxima, in order of rising 2θ, 2θ = 10–90°:
2theta	Rel. int.
10.82	86
16.23	55
24.82	80
26.09	80
26.46	56
29.86	56
32.81	100
35.80	50

```
K4BaV2S8
1.0
-4.5470 9.3263 5.0160
4.5470 -9.3263 5.0160
4.5470 9.3263 -5.0160
K Ba V S
8 2 4 16
Cartesian
4.5470 4.6908 -2.5080
5.6924 1.4389 0.0000
1.1454 7.8874 0.0000
0.0000 4.6354 2.5080
4.5470 4.6908 2.5080
3.4016 1.4389 5.0160
-1.1454 7.8874 5.0160
0.0000 4.6354 7.5241
0.0000 0.0000 2.5080
0.0000 0.0000 7.5241
1.8968 2.5003 0.0000
1.8968 -2.5003 5.0160
2.6502 11.8265 0.0000
2.6502 6.8260 5.0160
6.2946 -1.6488 1.7649
4.3296 -7.3190 5.0160
2.7993 -1.6488 3.2512
2.1110 4.6375 0.0000
6.6580 4.6888 0.0000
2.7993 1.6488 1.7649
4.3296 7.3190 0.0000
1.7476 10.9751 -1.7649
2.7993 -1.6488 6.7809
0.2174 2.0073 5.0160
1.7476 7.6775 3.2512
-2.1110 4.6375 5.0160
2.4360 4.6888 5.0160
1.7476 10.9751 1.7649
0.2174 16.6452 0.0000
-1.7476 10.9751 3.2512
```

=====

Entry 6:
Starting from the GGA-PBE geometry in the Materials Project, the PXRD pattern of Ba2MgBi2O6 was computed for Cu Kα X-rays.
No peak broadening, texture or thermal motion is included.

Largest 8 diffraction maxima, in order of rising 2θ, 2θ = 10–90°:
2theta	Rel. int.
18.76	42
18.93	48
19.34	31
28.13	100
28.92	66
29.58	30
29.75	65
38.47	44

```
Ba2MgBi2O6
1.0
6.0090 0.0000 0.0000
2.8472 5.5191 0.0000
2.8761 1.2448 6.4011
Ba Mg Bi O
2 1 2 6
Cartesian
0.0000 0.0000 0.0000
5.9005 3.1272 4.0417
8.8460 4.8889 3.4059
2.8929 1.2903 2.9827
5.8361 3.6391 0.6720
3.1580 3.0952 4.3562
4.5679 4.7765 1.9825
7.0880 5.6859 4.2517
5.3991 1.8727 1.7063
7.5767 4.0096 1.8140
10.0819 6.2981 4.3098
```

=====

Entry 7:
Starting from the GGA-PBE geometry in the Materials Project, the PXRD pattern of PrMgSe3 was computed for Cu Kα X-rays.
No peak broadening, texture or thermal motion is included.

Largest 8 diffraction maxima, in order of rising 2θ, 2θ = 10–90°:
2theta	Rel. int.
13.53	17
17.01	20
23.18	22
28.60	100
34.42	18
37.37	59
44.19	40
49.00	17

```
PrMgSe3
1.0
3.5502 2.0497 6.5454
-3.5502 2.0497 6.5454
0.0000 -4.0994 6.5454
Pr Mg Se
2 2 6
Cartesian
0.0000 0.0000 2.9156
0.0000 0.0000 16.7207
0.0000 0.0000 6.6638
0.0000 0.0000 12.9725
-1.3652 -1.8447 8.1324
-2.2801 0.2599 11.5038
-0.9149 2.1046 8.1324
0.9149 -2.1046 11.5038
2.2801 -0.2599 8.1324
1.3652 1.8447 11.5038
```

=====

Entry 8:
Starting from the GGA-PBE geometry in the Materials Project, the PXRD pattern of TiS2 was computed for Cu Kα X-rays.
No peak broadening, texture or thermal motion is included.

Largest 8 diffraction maxima, in order of rising 2θ, 2θ = 10–90°:
2theta	Rel. int.
17.59	91
28.00	100
35.58	14
43.97	39
47.80	39
52.92	24
57.77	12
83.55	13

```
TiS2
1.0
-2.9140 2.9140 5.0255
2.9140 -2.9140 5.0255
2.9140 2.9140 -5.0255
Ti S
2 4
Cartesian
0.0000 0.0000 0.0000
0.0000 2.9140 2.5127
4.3710 1.2164 -1.2564
1.2164 1.4570 1.2564
-1.4570 1.6976 3.7691
1.6976 1.4570 6.2818
```

=====

Entry 9:
Starting from the GGA-PBE geometry in the Materials Project, the PXRD pattern of TbMn4Al8 was computed for Cu Kα X-rays.
No peak broadening, texture or thermal motion is included.

Largest 8 diffraction maxima, in order of rising 2θ, 2θ = 10–90°:
2theta	Rel. int.
14.25	51
19.98	51
28.57	66
28.73	39
35.24	49
40.60	100
40.96	79
41.08	71

```
TbMn4Al8
1.0
-4.3944 4.3944 2.5755
4.3944 -4.3944 2.5755
4.3944 4.3944 -2.5755
Tb Mn Al
1 4 8
Cartesian
0.0000 0.0000 0.0000
2.1972 2.1972 -1.2877
2.1972 -2.1972 1.2877
-2.1972 2.1972 1.2877
2.1972 2.1972 1.2877
2.9589 0.0000 0.0000
5.8299 0.0000 0.0000
4.3944 2.4147 0.0000
0.0000 2.9589 0.0000
2.4147 4.3944 0.0000
1.9797 0.0000 2.5755
0.0000 5.8299 0.0000
0.0000 1.9797 2.5755
```

=====

Entry 10:
Starting from the GGA-PBE geometry in the Materials Project, the PXRD pattern of ZrAlPd2 was computed for Cu Kα X-rays.
No peak broadening, texture or thermal motion is included.

Largest 8 diffraction maxima, in order of rising 2θ, 2θ = 10–90°:
2theta	Rel. int.
23.85	10
27.60	11
39.43	100
46.61	5
56.99	17
64.47	4
71.51	33
84.86	11

```
ZrAlPd2
1.0
0.0000 3.2317 3.2317
3.2317 0.0000 3.2317
3.2317 3.2317 0.0000
Zr Al Pd
1 1 2
Cartesian
0.0000 0.0000 0.0000
3.2317 3.2317 3.2317
1.6159 1.6159 1.6159
4.8476 4.8476 4.8476
```

=====

Entry 11:
Starting from the GGA-PBE geometry in the Materials Project, the PXRD pattern of SiO2 was computed for Cu Kα X-rays.
No peak broadening, texture or thermal motion is included.

Largest 8 diffraction maxima, in order of rising 2θ, 2θ = 10–90°:
2theta	Rel. int.
12.48	100
17.95	29
21.59	13
21.93	6
27.79	9
28.48	23
33.65	13
67.77	4

```
SiO2
1.0
-4.9404 4.9404 5.0925
4.9404 -4.9404 5.0925
4.9404 4.9404 -5.0925
Si O
8 16
Cartesian
3.3719 0.9017 1.2731
6.5090 0.9017 1.2731
3.3719 5.8421 -1.2731
1.5685 0.9017 3.8194
3.3719 4.0387 1.2731
1.5685 -0.9017 6.3656
-1.5685 4.0387 3.8194
1.5685 4.0387 3.8194
2.9319 0.0000 0.0000
6.9490 0.0000 0.0000
4.9404 0.6489 1.6333
2.4702 5.4021 -2.5462
2.4702 0.4616 2.5462
3.1191 2.4702 0.9130
6.7618 2.4702 0.9130
0.0000 0.6489 3.4592
2.9319 4.9404 0.0000
2.0086 0.0000 5.0925
4.9404 4.2916 1.6333
-1.8213 2.4702 4.1795
1.8213 2.4702 4.1795
-2.4702 4.4788 2.5462
2.4702 4.4788 2.5462
0.0000 4.2916 3.4592
```